Cs2Cd3Hg2Bi2: calculated powder diffractogram (Cu Ka), based on a cell relaxed with PBE.

Structure:
```
Cs2Cd3Hg2Bi2
1.0
-2.790 2.790 10.326
2.790 -2.790 10.326
2.790 2.790 -10.326
Cs Cd Hg Bi
2 3 2 2
direct
0.124 0.124 0.000
0.876 0.876 0.000
0.250 0.750 0.500
0.500 0.500 0.000
0.750 0.250 0.500
0.000 0.500 0.500
0.500 0.000 0.500
0.328 0.328 0.000
0.672 0.672 0.000
```

Principal peaks in the range 10 to 90 degrees two-theta, in order of falling intensity:
2θ/deg  Rel. int.
28.47  100
32.08  86
26.85  44
54.99  32
46.00  32
42.31  26

Ac4Pb: calculated powder diffractogram (Cu Ka), based on a cell relaxed with PBE.

Structure:
```
Ac4Pb
1.0
0.000 8.648 3.628
6.684 0.000 3.628
6.684 8.648 0.000
Ac Pb
8 2
direct
0.134 0.866 0.255
0.445 0.525 0.338
0.505 0.995 0.384
0.525 0.445 0.692
0.558 0.912 0.725
0.866 0.134 0.745
0.912 0.558 0.805
0.995 0.505 0.116
0.073 0.073 0.927
0.323 0.323 0.177
```

Principal peaks in the range 10 to 90 degrees two-theta, in order of falling intensity:
2θ/deg  Rel. int.
29.37  100
27.98  65
28.63  57
29.87  55
28.14  54
46.31  22

YEr2Tm8: calculated powder diffractogram (Cu Ka), based on a cell relaxed with PBE.

Structure:
```
YEr2Tm8
1.0
-2.702 4.021 7.820
2.702 -4.021 7.820
2.702 4.021 -7.820
Y Er Tm
1 2 8
direct
0.000 0.000 0.000
0.299 0.299 0.000
0.701 0.701 0.000
0.154 0.860 0.293
0.161 0.661 0.500
0.295 0.500 0.795
0.433 0.140 0.293
0.567 0.860 0.707
0.705 0.500 0.205
0.839 0.339 0.500
0.846 0.140 0.707
```

Principal peaks in the range 10 to 90 degrees two-theta, in order of falling intensity:
2θ/deg  Rel. int.
32.64  100
33.13  53
30.33  25
58.91  19
34.41  14
64.30  12

NaNb2SbO8: calculated powder diffractogram (Cu Ka), based on a cell relaxed with PBE.

Structure:
```
NaNb2SbO8
1.0
3.513 -3.317 0.000
3.513 3.317 0.000
-0.153 0.000 6.466
Na Nb Sb O
1 2 1 8
direct
0.000 0.000 0.000
0.469 0.469 0.758
0.531 0.531 0.242
0.000 0.000 0.500
0.204 0.787 0.280
0.213 0.796 0.720
0.295 0.295 0.509
0.322 0.322 0.996
0.678 0.678 0.004
0.705 0.705 0.491
0.787 0.204 0.280
0.796 0.213 0.720
```

Principal peaks in the range 10 to 90 degrees two-theta, in order of falling intensity:
2θ/deg  Rel. int.
25.36  100
26.88  88
33.11  72
33.62  70
22.82  53
50.56  37

Li2Ac3Al9: calculated powder diffractogram (Cu Ka), based on a cell relaxed with PBE.

Structure:
```
Li2Ac3Al9
1.0
-2.320 4.969 6.922
2.320 -4.969 6.922
2.320 4.969 -6.922
Li Ac Al
2 3 9
direct
0.201 0.000 0.201
0.799 0.000 0.799
0.191 0.191 0.000
0.500 0.500 0.000
0.809 0.809 0.000
0.000 0.500 0.500
0.085 0.360 0.724
0.199 0.836 0.363
0.364 0.640 0.724
0.474 0.836 0.637
0.526 0.164 0.363
0.636 0.360 0.276
0.801 0.164 0.637
0.915 0.640 0.276
```

Principal peaks in the range 10 to 90 degrees two-theta, in order of falling intensity:
2θ/deg  Rel. int.
21.18  100
32.77  63
33.26  58
27.25  40
17.85  40
38.81  16

MgAg4Hg2: calculated powder diffractogram (Cu Ka), based on a cell relaxed with PBE.

Structure:
```
MgAg4Hg2
1.0
5.698 0.000 0.000
1.886 6.933 0.000
2.829 2.657 6.834
Mg Ag Hg
2 8 4
direct
0.000 0.000 0.000
0.186 0.766 0.554
0.144 0.587 0.286
0.293 0.152 0.569
0.477 0.903 0.132
0.618 0.494 0.404
0.717 0.859 0.429
0.770 0.053 0.702
0.865 0.436 0.705
0.909 0.633 0.978
0.043 0.190 0.283
0.328 0.336 0.829
0.438 0.736 0.849
0.582 0.295 0.142
```

Principal peaks in the range 10 to 90 degrees two-theta, in order of falling intensity:
2θ/deg  Rel. int.
39.25  100
36.58  86
38.31  60
38.89  59
39.02  51
40.03  45

K2Rb4CdHg2: calculated powder diffractogram (Cu Ka), based on a cell relaxed with PBE.

Structure:
```
K2Rb4CdHg2
1.0
7.303 0.000 0.000
2.127 8.182 0.000
3.046 0.345 8.832
K Rb Cd Hg
2 4 1 2
direct
0.082 0.332 0.196
0.918 0.668 0.804
0.283 0.812 0.041
0.414 0.247 0.574
0.586 0.753 0.426
0.717 0.188 0.959
0.000 0.000 0.500
0.122 0.635 0.418
0.878 0.365 0.582
```

Principal peaks in the range 10 to 90 degrees two-theta, in order of falling intensity:
2θ/deg  Rel. int.
10.02  100
13.88  50
20.11  33
14.47  33
25.27  32
28.66  27

Ac3USe6: calculated powder diffractogram (Cu Ka), based on a cell relaxed with PBE.

Structure:
```
Ac3USe6
1.0
6.046 -7.391 0.000
6.046 7.391 0.000
0.000 0.000 7.530
Ac U Se
6 2 12
direct
0.101 0.899 0.500
0.202 0.415 0.592
0.415 0.202 0.092
0.585 0.798 0.592
0.798 0.585 0.092
0.899 0.101 0.000
0.341 0.659 0.104
0.659 0.341 0.604
0.084 0.597 0.292
0.136 0.189 0.294
0.189 0.136 0.794
0.271 0.729 0.754
0.403 0.916 0.292
0.491 0.509 0.359
0.509 0.491 0.859
0.597 0.084 0.792
0.729 0.271 0.254
0.811 0.864 0.294
0.864 0.811 0.794
0.916 0.403 0.792
```

Principal peaks in the range 10 to 90 degrees two-theta, in order of falling intensity:
2θ/deg  Rel. int.
22.37  100
33.99  38
37.73  27
31.03  26
33.12  24
44.98  21

Ce2PuRh: calculated powder diffractogram (Cu Ka), based on a cell relaxed with PBE.

Structure:
```
Ce2PuRh
1.0
0.000 3.561 3.561
3.561 0.000 3.561
3.561 3.561 0.000
Ce Pu Rh
2 1 1
direct
0.250 0.250 0.250
0.750 0.750 0.750
0.000 0.000 0.000
0.500 0.500 0.500
```

Principal peaks in the range 10 to 90 degrees two-theta, in order of falling intensity:
2θ/deg  Rel. int.
35.66  100
64.05  37
51.32  18
86.42  17
75.52  11
21.61  9

Sm2MnAl12Co3: calculated powder diffractogram (Cu Ka), based on a cell relaxed with PBE.

Structure:
```
Sm2MnAl12Co3
1.0
3.152 1.820 9.444
-3.152 1.820 9.444
0.000 -3.640 9.444
Sm Mn Al Co
2 1 12 3
direct
0.142 0.142 0.142
0.858 0.858 0.858
0.500 0.500 0.500
0.097 0.097 0.676
0.097 0.676 0.097
0.134 0.584 0.584
0.324 0.903 0.903
0.416 0.416 0.866
0.416 0.866 0.416
0.584 0.134 0.584
0.584 0.584 0.134
0.676 0.097 0.097
0.866 0.416 0.416
0.903 0.324 0.903
0.903 0.903 0.324
0.000 0.500 0.500
0.500 0.000 0.500
0.500 0.500 0.000
```

Principal peaks in the range 10 to 90 degrees two-theta, in order of falling intensity:
2θ/deg  Rel. int.
29.88  100
41.78  50
38.65  37
58.57  32
32.96  28
20.54  28